No. 1
Starting from the GGA-PBE geometry in Alexandria, the powder XRD pattern of Nd7Tm12In was calculated for Cu Kα (λ = 1.5418 Å).
Lines closer than 0.1° are merged.

Cell and atoms:
```
Nd7Tm12In
1.0
8.5498 0.0000 0.0000
0.6982 8.7276 0.0000
0.0540 1.3544 8.8040
Nd Tm In
7 12 1
Direct
0.0000 0.0000 0.0000
0.1574 0.3285 0.7144
0.2949 0.2266 0.0527
0.3662 0.8132 0.2319
0.6338 0.1868 0.7681
0.7051 0.7734 0.9473
0.8426 0.6715 0.2856
0.0924 0.7937 0.5804
0.1289 0.6296 0.9746
0.1803 0.4787 0.3464
0.3467 0.9380 0.8145
0.3574 0.1361 0.4465
0.4581 0.5568 0.8158
0.5419 0.4432 0.1842
0.6426 0.8639 0.5535
0.6533 0.0620 0.1855
0.8197 0.5213 0.6536
0.8711 0.3704 0.0254
0.9076 0.2063 0.4196
0.5000 0.5000 0.5000
```

The 12 most intense peaks (5 to 70 degrees two-theta), low angle first:
22.8°, I = 17
29.0°, I = 23
30.7°, I = 37
31.3°, I = 84
31.4°, I = 34
32.2°, I = 98
32.4°, I = 100
32.7°, I = 35
33.5°, I = 32
34.2°, I = 27
37.0°, I = 20
56.1°, I = 19

***

No. 2
Starting from the GGA-PBE geometry in Alexandria, the powder XRD pattern of Tl3CrCl7 was calculated for Cu Kα (λ = 1.5418 Å).
Lines closer than 0.1° are merged.

Cell and atoms:
```
Tl3CrCl7
1.0
9.6780 0.0000 0.0000
0.0000 9.6780 0.0000
0.0000 0.0000 6.7397
Tl Cr Cl
6 2 14
Direct
0.0000 0.0000 0.0000
0.1692 0.3308 0.5000
0.3308 0.8308 0.5000
0.5000 0.5000 0.0000
0.6692 0.1692 0.5000
0.8308 0.6692 0.5000
0.0000 0.5000 0.0000
0.5000 0.0000 0.0000
0.0000 0.0000 0.5000
0.1173 0.6173 0.2441
0.1173 0.6173 0.7559
0.1682 0.3318 0.0000
0.3318 0.8318 0.0000
0.3827 0.1173 0.2441
0.3827 0.1173 0.7559
0.5000 0.5000 0.5000
0.6173 0.8827 0.2441
0.6173 0.8827 0.7559
0.6682 0.1682 0.0000
0.8318 0.6682 0.0000
0.8827 0.3827 0.2441
0.8827 0.3827 0.7559
```

The 12 most intense peaks (5 to 70 degrees two-theta), low angle first:
18.5°, I = 33
20.5°, I = 52
22.6°, I = 100
24.4°, I = 65
26.0°, I = 43
26.4°, I = 43
29.2°, I = 87
33.7°, I = 97
37.5°, I = 32
39.6°, I = 29
39.8°, I = 38
41.8°, I = 47

***

No. 3
Starting from the GGA-PBE geometry in Alexandria, the powder XRD pattern of KNa2U3S8 was calculated for Cu Kα (λ = 1.5418 Å).
Lines closer than 0.1° are merged.

Cell and atoms:
```
KNa2U3S8
1.0
4.1027 2.3687 6.9880
-4.1027 2.3687 6.9880
0.0000 -4.7374 6.9880
K Na U S
1 2 3 8
Direct
0.0000 0.0000 0.0000
0.3754 0.3754 0.3754
0.7553 0.7553 0.7553
0.3743 0.3743 0.8729
0.3743 0.8729 0.3743
0.8729 0.3743 0.3743
0.1297 0.1297 0.5631
0.1297 0.5631 0.1297
0.1429 0.1429 0.1429
0.1708 0.6241 0.6241
0.5631 0.1297 0.1297
0.6091 0.6091 0.6091
0.6241 0.1708 0.6241
0.6241 0.6241 0.1708
```

The 12 most intense peaks (5 to 70 degrees two-theta), low angle first:
12.7°, I = 100
13.2°, I = 32
15.1°, I = 18
25.2°, I = 23
25.4°, I = 67
26.5°, I = 23
30.4°, I = 63
39.3°, I = 31
42.9°, I = 28
44.1°, I = 29
46.1°, I = 25
51.7°, I = 20

***

No. 4
Starting from the GGA-PBE geometry in Alexandria, the powder XRD pattern of LiDyTh2Se4 was calculated for Cu Kα (λ = 1.5418 Å).
Lines closer than 0.1° are merged.

Cell and atoms:
```
LiDyTh2Se4
1.0
6.8572 0.0000 0.0000
0.0000 3.9675 0.0000
-2.2531 0.0000 7.1928
Li Dy Th Se
1 1 2 4
Direct
0.0000 0.0000 0.0000
0.5000 0.5000 0.0000
0.0000 0.5000 0.5000
0.5000 0.0000 0.5000
0.2354 0.5000 0.2260
0.2476 0.0000 0.7726
0.7524 0.0000 0.2274
0.7646 0.5000 0.7740
```

The 12 most intense peaks (5 to 70 degrees two-theta), low angle first:
12.3°, I = 25
26.3°, I = 23
27.3°, I = 20
30.8°, I = 100
31.0°, I = 49
33.4°, I = 18
42.6°, I = 20
42.7°, I = 40
45.8°, I = 52
50.8°, I = 12
56.3°, I = 18
64.2°, I = 12